Entry 1:
Diffraction record for La2Nd4Y3. The powder diffractogram is theoretical, not measured: it uses the PBE geometry in Alexandria and a wavelength of 1.5418 Å.
Intensities are scaled so that the largest is 100.

Largest 10 diffraction maxima, low angle first, 2θ = 10–90°:
(1 3 1), 2θ = 26.1°, I = 20; (2 0 0), 2θ = 28.1°, I = 24; (2 0 2), 2θ = 30.3°, I = 15; (1 3 3), 2θ = 30.6°, I = 100; (1 1 5), 2θ = 32.0°, I = 53; (2 2 2), 2θ = 33.5°, I = 18; (3 3 3), 2θ = 51.3°, I = 16; (3 1 5), 2θ = 52.2°, I = 13; (0 4 8), 2θ = 54.2°, I = 13; (1 7 5), 2θ = 61.0°, I = 14

Structural model:
Lattice parameters (Å, degrees): 6.3516 12.5385 16.0831 90.00 90.00 90.00
Space group Fmmm (No. 69)
Symmetry-distinct sites (fractional):
La1 0.0000 0.0000 0.1136 (multiplicity 8)
Nd1 0.0000 0.1444 0.3115 (multiplicity 16)
Y1 0.0000 0.0000 0.5000 (multiplicity 4)
Y2 0.2500 0.2500 0.0000 (multiplicity 8)

=====

Entry 2:
Diffraction record for AlTe2Au. The powder diffractogram is theoretical, not measured: it uses the PBE geometry in Alexandria and a wavelength of 1.5418 Å.
Intensities are scaled so that the largest is 100.

Largest 10 diffraction maxima, low angle first, 2θ = 10–90°:
(0 2 0), 2θ = 13.6°, I = 100; (1 1 -1), 2θ = 15.7°, I = 58; (0 2 1), 2θ = 22.6°, I = 92; (1 3 -1), 2θ = 24.9°, I = 38; (2 2 -1), 2θ = 25.1°, I = 43; (2 2 0), 2θ = 30.3°, I = 40; (1 3 1), 2θ = 35.3°, I = 33; (2 4 0), 2θ = 38.8°, I = 50; (2 4 -2), 2θ = 39.9°, I = 40; (1 1 -3), 2θ = 48.3°, I = 40

Structural model:
Lattice parameters (Å, degrees): 8.4711 13.0448 6.3461 90.00 128.75 90.00
Space group Cc (No. 9)
Symmetry-distinct sites (fractional):
Al1 0.0000 0.2454 0.0000 (multiplicity 4)
Te1 0.2270 0.1131 0.4395 (multiplicity 4)
Te2 0.2738 0.3692 0.0636 (multiplicity 4)
Au1 0.3939 0.2717 0.8036 (multiplicity 4)

=====

Entry 3:
Diffraction record for TbErCuRh. The powder diffractogram is theoretical, not measured: it uses the PBE geometry in Alexandria and a wavelength of 1.5418 Å.
Intensities are scaled so that the largest is 100.

Largest 10 diffraction maxima, low angle first, 2θ = 10–90°:
(1 0 2), 2θ = 26.7°, I = 22; (1 1 1), 2θ = 32.6°, I = 100; (0 0 4), 2θ = 34.7°, I = 27; (0 1 3), 2θ = 35.3°, I = 31; (1 0 4), 2θ = 40.5°, I = 18; (1 1 3), 2θ = 41.1°, I = 53; (2 0 0), 2θ = 41.3°, I = 29; (0 2 0), 2θ = 48.5°, I = 18; (2 1 3), 2θ = 55.4°, I = 17; (2 2 0), 2θ = 65.5°, I = 15

Structural model:
Lattice parameters (Å, degrees): 4.3762 3.7557 10.3473 90.00 90.00 90.00
Space group Amm2 (No. 38)
Symmetry-distinct sites (fractional):
Tb1 0.0000 0.0000 0.0000 (multiplicity 2)
Er1 0.5000 0.0000 0.2782 (multiplicity 2)
Cu1 0.5000 0.0000 0.5653 (multiplicity 2)
Rh1 0.0000 0.0000 0.7226 (multiplicity 2)